Structure and calculated powder diffraction line list of HoScGe (the GGA-PBE geometry in Alexandria; Cu Kα (weighted mean of Kα1 and Kα2)).

Largest 10 diffraction maxima, in order of rising 2θ, 10 to 80 degrees two-theta:
Position (°2θ), Rel. int.
11.46, 18
22.11, 17
23.09, 18
26.72, 28
29.16, 13
38.15, 100
45.07, 9
55.05, 17
68.83, 8
68.99, 25

```
HoScGe
1.0
2.3568 1.3607 7.7185
-2.3568 1.3607 7.7185
0.0000 -2.7214 7.7185
Ho Sc Ge
2 2 2
direct
0.1231 0.1231 0.1231
0.8769 0.8769 0.8769
0.3730 0.3730 0.3730
0.6270 0.6270 0.6270
0.2536 0.2536 0.2536
0.7464 0.7464 0.7464
```